Simulated X-ray diffraction stick pattern
Compound: NaPr2USe5
Radiation: Cu Kα (weighted mean of Kα1 and Kα2)
Structure: the PBE geometry in Alexandria
Peak positions follow from Bragg's law for the DFT cell and can differ from measured ones.

Peak list (12 most intense, 10° ≤ 2θ ≤ 90°, by intensity)
d/Å  intensity
6.642  100
3.716  68
2.585  60
1.858  38
2.618  36
2.636  33
2.453  31
1.899  28
2.740  27
4.964  19
2.148  19
1.955  15

Structural model:
a b c (Å): 8.664 8.664 8.664
angles (deg): 144.57 129.14 63.51
Atoms (fractional coordinates):
Na 0.000 0.000 0.000
Pr 0.298 0.798 0.500
Pr 0.702 0.202 0.500
U 0.500 0.500 0.000
Se 0.109 0.351 0.758
Se 0.406 0.649 0.758
Se 0.500 0.000 0.500
Se 0.594 0.351 0.242
Se 0.891 0.649 0.242